No. 1
Theoretical powder diffractogram of V2SiO4 for CuKα, from DFT lattice parameters and positions (GGA+U).
Intensities are scaled so that the largest is 100.

Structural model:
Cell lengths 5.9005, 5.9005, 5.8613 Å; angles 119.71, 119.71, 60.74 degrees
Fractional positions:
V1 0.0000 0.0000 0.0000
V2 0.0000 0.0000 0.5000
V3 0.0000 0.5000 0.0000
V4 0.5000 0.0000 0.0000
Si1 0.3754 0.3754 0.6255
Si2 0.6246 0.6246 0.3745
O1 0.2599 0.2599 0.2786
O2 0.2597 0.2597 0.7413
O3 0.2599 0.7187 0.7399
O4 0.2813 0.7401 0.2601
O5 0.7187 0.2599 0.7399
O6 0.7401 0.2813 0.2601
O7 0.7403 0.7403 0.2587
O8 0.7401 0.7401 0.7214

Main lines, most intense first (2θ from 15° to 90°):
2θ (°), intensity
35.8, 100
63.0, 82
35.4, 80
43.3, 75
35.7, 60
43.4, 37
18.5, 22
18.3, 22

No. 2
Theoretical powder diffractogram of Ca2AlFeO5 for CuKα, from DFT lattice parameters and positions (GGA+U).
Intensities are scaled so that the largest is 100.

Structural model:
Cell lengths 8.2371, 8.2371, 8.2371 Å; angles 57.05, 139.62, 141.46 degrees
Fractional positions:
Ca1 0.0314 0.1099 0.1413
Ca2 0.0314 0.3901 0.4215
Ca3 0.9686 0.6099 0.5785
Ca4 0.9686 0.8901 0.8587
Al1 0.3933 0.7207 0.1727
Al2 0.5480 0.2207 0.8273
Fe1 0.5118 0.0118 0.5000
Fe2 0.5118 0.5118 0.0000
O1 0.0139 0.2748 0.7671
O2 0.0139 0.7467 0.2391
O3 0.2884 0.8915 0.8970
O4 0.4720 0.1895 0.5765
O5 0.4720 0.3955 0.7825
O6 0.5076 0.2467 0.2329
O7 0.5076 0.7748 0.7609
O8 0.6130 0.6895 0.2175
O9 0.6130 0.8955 0.4235
O10 0.9945 0.3915 0.1030

Main lines, most intense first (2θ from 15° to 90°):
2θ (°), intensity
33.7, 100
46.2, 46
32.9, 42
31.5, 33
44.0, 32
59.3, 23
57.4, 19
50.4, 17

No. 3
Theoretical powder diffractogram of CaMn16O32 for CuKα, from DFT lattice parameters and positions (GGA+U).
Intensities are scaled so that the largest is 100.

Structural model:
Cell lengths 9.8536, 5.9071, 9.9725 Å; angles 90.00, 90.01, 90.00 degrees
Fractional positions:
Ca1 0.0000 0.0000 0.0000
Mn1 0.1507 0.5000 0.2600
Mn2 0.1600 0.0000 0.2706
Mn3 0.1703 0.2494 0.5814
Mn4 0.1703 0.7506 0.5814
Mn5 0.3344 0.5000 0.7818
Mn6 0.3367 0.0000 0.7795
Mn7 0.3510 0.2485 0.0950
Mn8 0.3510 0.7515 0.0950
Mn9 0.6544 0.2500 0.7617
Mn10 0.6544 0.7500 0.7617
Mn11 0.6670 0.0000 0.0805
Mn12 0.6748 0.5000 0.0736
Mn13 0.8345 0.2493 0.2778
Mn14 0.8345 0.7507 0.2778
Mn15 0.8508 0.0000 0.5933
Mn16 0.8526 0.5000 0.5948
O1 0.0450 0.0000 0.5979
O2 0.0457 0.5000 0.5957
O3 0.1519 0.2322 0.1293
O4 0.1519 0.7678 0.1293
O5 0.1679 0.2476 0.3907
O6 0.1679 0.7524 0.3907
O7 0.2049 0.2472 0.7791
O8 0.2049 0.7528 0.7791
O9 0.2999 0.0000 0.5885
O10 0.2996 0.5000 0.5903
O11 0.3311 0.0000 0.9717
O12 0.3328 0.5000 0.9731
O13 0.3432 0.5000 0.2216
O14 0.3503 0.0000 0.2247
O15 0.4604 0.2510 0.7691
O16 0.4604 0.7490 0.7691
O17 0.5444 0.2464 0.0872
O18 0.5444 0.7536 0.0872
O19 0.6573 0.0000 0.6342
O20 0.6588 0.5000 0.6338
O21 0.6761 0.5000 0.8826
O22 0.6770 0.0000 0.8853
O23 0.7049 0.0000 0.2730
O24 0.7067 0.5000 0.2663
O25 0.8109 0.2325 0.0833
O26 0.8109 0.7675 0.0833
O27 0.8365 0.2510 0.4717
O28 0.8365 0.7490 0.4717
O29 0.8494 0.2473 0.7242
O30 0.8494 0.7527 0.7242
O31 0.9571 0.5000 0.2641
O32 0.9613 0.0000 0.2615

Main lines, most intense first (2θ from 15° to 90°):
2θ (°), intensity
36.5, 100
17.8, 85
18.0, 84
36.6, 75
28.6, 69
28.3, 61
58.9, 44
49.0, 43

No. 4
Theoretical powder diffractogram of YMoO4F for CuKα, from DFT lattice parameters and positions (GGA+U).
Intensities are scaled so that the largest is 100.

Structural model:
Cell lengths 5.2794, 12.4608, 6.7476 Å; angles 90.00, 113.08, 90.00 degrees
Fractional positions:
Y1 0.1390 0.0515 0.3000
Y2 0.1390 0.4485 0.8000
Y3 0.8610 0.5515 0.2000
Y4 0.8610 0.9485 0.7000
Mo1 0.4217 0.1434 0.8699
Mo2 0.4217 0.3566 0.3699
Mo3 0.5783 0.6434 0.6301
Mo4 0.5783 0.8566 0.1301
O1 0.1920 0.0654 0.9620
O2 0.1920 0.4346 0.4620
O3 0.2621 0.6531 0.4075
O4 0.2621 0.8469 0.9075
O5 0.3076 0.2228 0.2949
O6 0.3076 0.2772 0.7949
O7 0.4966 0.0690 0.6631
O8 0.4966 0.4310 0.1631
O9 0.5034 0.5690 0.8369
O10 0.5034 0.9310 0.3369
O11 0.6924 0.7228 0.2051
O12 0.6924 0.7772 0.7051
O13 0.7379 0.1531 0.0925
O14 0.7379 0.3469 0.5925
O15 0.8080 0.5654 0.5380
O16 0.8080 0.9346 0.0380
F1 0.0447 0.5979 0.9635
F2 0.0447 0.9021 0.4635
F3 0.9553 0.0979 0.5365
F4 0.9553 0.4021 0.0365

Main lines, most intense first (2θ from 15° to 90°):
2θ (°), intensity
28.3, 100
23.2, 52
31.0, 34
47.5, 31
19.6, 31
27.4, 24
25.8, 22
34.7, 17

No. 5
Theoretical powder diffractogram of Al2Co2O7 for CuKα, from DFT lattice parameters and positions (GGA+U).
Intensities are scaled so that the largest is 100.

Structural model:
Cell lengths 6.4400, 6.5024, 6.5456 Å; angles 61.14, 60.68, 60.49 degrees
Fractional positions:
Al1 0.0000 0.0000 0.0000
Al2 0.0000 0.0000 0.5000
Al3 0.0000 0.5000 0.0000
Al4 0.5000 0.0000 0.0000
Co1 0.0000 0.5000 0.5000
Co2 0.5000 0.0000 0.5000
Co3 0.5000 0.5000 0.0000
Co4 0.5000 0.5000 0.5000
O1 0.1211 0.1292 0.1305
O2 0.1507 0.1611 0.5770
O3 0.1574 0.6062 0.1538
O4 0.1646 0.5513 0.6196
O5 0.3866 0.8373 0.4285
O6 0.4027 0.8567 0.8411
O7 0.4211 0.3920 0.8441
O8 0.5789 0.6080 0.1559
O9 0.5973 0.1433 0.1589
O10 0.6134 0.1627 0.5715
O11 0.8354 0.4487 0.3804
O12 0.8426 0.3938 0.8462
O13 0.8493 0.8389 0.4230
O14 0.8789 0.8708 0.8695

Main lines, most intense first (2θ from 15° to 90°):
2θ (°), intensity
33.1, 100
33.4, 98
33.9, 91
34.0, 89
16.8, 43
55.4, 42
56.1, 42
56.2, 42

No. 6
Theoretical powder diffractogram of LiVF4 for CuKα, from DFT lattice parameters and positions (GGA+U).
Intensities are scaled so that the largest is 100.

Structural model:
Cell lengths 6.6763, 6.6763, 6.6461 Å; angles 106.21, 106.21, 35.57 degrees
Fractional positions:
Li1 0.0874 0.0874 0.2042
Li2 0.9126 0.9126 0.7958
V1 0.2039 0.2039 0.7980
V2 0.7961 0.7961 0.2020
F1 0.0718 0.0718 0.8833
F2 0.1380 0.1380 0.5098
F3 0.2763 0.2763 0.1421
F4 0.3529 0.3529 0.7958
F5 0.6471 0.6471 0.2042
F6 0.7237 0.7237 0.8579
F7 0.8620 0.8620 0.4902
F8 0.9282 0.9282 0.1167

Main lines, most intense first (2θ from 15° to 90°):
2θ (°), intensity
28.1, 100
42.7, 89
25.8, 87
44.4, 67
23.0, 58
17.0, 54
28.6, 49
63.3, 44

Copy entry 5 word for word.
Theoretical powder diffractogram of Al2Co2O7 for CuKα, from DFT lattice parameters and positions (GGA+U).
Intensities are scaled so that the largest is 100.

Structural model:
Cell lengths 6.4400, 6.5024, 6.5456 Å; angles 61.14, 60.68, 60.49 degrees
Fractional positions:
Al1 0.0000 0.0000 0.0000
Al2 0.0000 0.0000 0.5000
Al3 0.0000 0.5000 0.0000
Al4 0.5000 0.0000 0.0000
Co1 0.0000 0.5000 0.5000
Co2 0.5000 0.0000 0.5000
Co3 0.5000 0.5000 0.0000
Co4 0.5000 0.5000 0.5000
O1 0.1211 0.1292 0.1305
O2 0.1507 0.1611 0.5770
O3 0.1574 0.6062 0.1538
O4 0.1646 0.5513 0.6196
O5 0.3866 0.8373 0.4285
O6 0.4027 0.8567 0.8411
O7 0.4211 0.3920 0.8441
O8 0.5789 0.6080 0.1559
O9 0.5973 0.1433 0.1589
O10 0.6134 0.1627 0.5715
O11 0.8354 0.4487 0.3804
O12 0.8426 0.3938 0.8462
O13 0.8493 0.8389 0.4230
O14 0.8789 0.8708 0.8695

Main lines, most intense first (2θ from 15° to 90°):
2θ (°), intensity
33.1, 100
33.4, 98
33.9, 91
34.0, 89
16.8, 43
55.4, 42
56.1, 42
56.2, 42